1.
Diffraction record for Ba3Y5Ni3O15. The powder X-ray diffraction pattern is calculated, not measured: it uses a GGA+U-relaxed structure and Cu Kα X-rays.

Largest 12 diffraction maxima, low angle first, 2θ = 5–70°:
24.9 deg, I 16, hkl 0 0 3; 28.2 deg, I 44, hkl 3 1 0; 30.8 deg, I 55, hkl 0 2 0; 31.7 deg, I 27, hkl 4 0 0; 32.4 deg, I 100, hkl 3 1 -3; 32.5 deg, I 97, hkl 1 1 3; 40.0 deg, I 32, hkl 2 2 -3; 44.8 deg, I 47, hkl 4 2 0; 48.4 deg, I 39, hkl 2 0 -6; 55.8 deg, I 42, hkl 3 3 -3; 57.1 deg, I 21, hkl 6 2 -3; 58.4 deg, I 24, hkl 2 2 -6

Atomic structure:
Cell lengths 11.9210, 5.8135, 11.2873 Å; angles 90.00, 108.71, 90.00 degrees
Space group Cm (No. 8)
Inequivalent atoms, fractional coordinates:
1 Ba 0.0000 0.0000 0.0000
2 Ba 0.0091 0.0000 0.3387
3 Ba 0.4892 0.5000 0.6582
4 Y 0.2037 0.5000 0.7357
5 Y 0.2084 0.5000 0.0720
6 Y 0.2902 0.0000 0.5980
7 Y 0.2952 0.0000 0.2641
8 Y 0.2951 0.0000 0.9348
9 Ni 0.0010 0.5000 0.8359
10 Ni 0.0084 0.5000 0.5016
11 Ni 0.0194 0.5000 0.1795
12 O 0.0014 0.5000 0.3332
13 O 0.1380 0.2545 0.5631
14 O 0.1416 0.2505 0.1985
15 O 0.1483 0.2636 0.8856
16 O 0.3522 0.2349 0.7838
17 O 0.3566 0.2382 0.1220
18 O 0.3756 0.2147 0.4555
19 O 0.4966 0.0000 0.6640
20 O 0.4978 0.0000 0.0060



2.
Diffraction record for BaYb2NiO5. The powder X-ray diffraction pattern is calculated, not measured: it uses a GGA+U-relaxed structure and Cu Kα X-rays.

Largest 12 diffraction maxima, low angle first, 2θ = 5–70°:
29.6 deg, I 100, hkl 3 1 1; 30.5 deg, I 77, hkl 1 1 2; 31.4 deg, I 51, hkl 0 2 0; 31.7 deg, I 24, hkl 4 0 1; 33.1 deg, I 21, hkl 4 1 0; 41.2 deg, I 18, hkl 0 1 3; 45.2 deg, I 33, hkl 4 2 1; 46.4 deg, I 16, hkl 3 2 2; 54.8 deg, I 18, hkl 3 3 1; 55.3 deg, I 15, hkl 1 3 2; 58.9 deg, I 16, hkl 4 2 3; 61.0 deg, I 15, hkl 7 1 2

Atomic structure:
Cell lengths 12.3051, 5.7010, 7.1110 Å; angles 90.00, 90.00, 90.00 degrees
Space group Pnma (No. 62)
Inequivalent atoms, fractional coordinates:
1 Ba 0.0987 0.2500 0.0744
2 Yb 0.0735 0.7500 0.3928
3 Yb 0.2087 0.2500 0.6184
4 Ni 0.1553 0.7500 0.8001
5 O 0.0647 0.5097 0.6718
6 O 0.1022 0.7500 0.0676
7 O 0.2281 0.0046 0.3564